Starting from DFT lattice parameters and positions (PBE), the X-ray diffraction stick pattern of Rb2CrH6 was computed for Cu Kα (λ = 1.5418 Å).
Neutral-atom scattering factors, no anomalous dispersion.

Cell and atoms:
Cell lengths 6.1801, 6.1801, 8.8458 Å; angles 90.00, 90.00, 120.00 degrees
Space group P6_3mc (No. 186)
One atom of each set of equivalent atoms:
Rb (0.0000, 0.0000, 0.0000) [2 per cell]
Rb (0.3333, 0.6667, 0.2599) [2 per cell]
Cr (0.3333, 0.6667, 0.6942) [2 per cell]
H (0.1183, 0.5591, 0.5601) [6 per cell]
H (0.1798, 0.3597, 0.7397) [6 per cell]

Peak list (10 most intense, 2θ = 10–80°, in order of rising 2θ)
2θ (°)  I_rel  h k l
19.38  12  1 0 1
26.14  100  1 0 2
28.89  89  1 1 0
34.74  12  1 0 3
39.35  35  2 0 2
49.55  33  2 1 2
50.77  23  1 1 4
51.20  17  3 0 0
59.86  11  2 2 0
66.43  14  3 1 2